LiLa3Ti3CrO12: simulated PXRD pattern (copper Kα), based on a structure optimized by DFT (GGA+U).

Crystal structure
```
LiLa3Ti3CrO12
1.0
5.509 0.000 0.000
-0.005 5.564 0.000
-0.004 -0.005 7.856
Li La Ti Cr O
1 3 3 1 12
Direct
0.000 0.000 0.000 Li
0.009 0.068 0.492 La
0.505 0.628 0.000 La
0.520 0.568 0.495 La
0.015 0.593 0.751 Ti
0.016 0.592 0.238 Ti
0.515 0.100 0.758 Ti
0.514 0.099 0.241 Cr
0.081 0.619 0.496 O
0.225 0.881 0.201 O
0.234 0.881 0.788 O
0.308 0.390 0.772 O
0.308 0.397 0.222 O
0.442 0.101 0.496 O
0.604 0.087 0.993 O
0.730 0.812 0.281 O
0.733 0.817 0.710 O
0.792 0.324 0.697 O
0.795 0.325 0.293 O
0.949 0.593 0.995 O
```

Largest 10 diffraction maxima, in order of rising 2θ, 2θ from 10° to 80°:
2θ (°), d [Å], I (rel.), hkl
11.26, 7.856, 16, 0 0 1
25.42, 3.504, 16, -1 1 1
32.18, 2.782, 24, 0 2 0
32.29, 2.773, 100, 1 1 -2
32.51, 2.754, 24, 2 0 0
46.23, 1.964, 17, 0 0 4
46.39, 1.957, 32, 2 -2 0
57.44, 1.604, 27, 0 2 -4
57.86, 1.594, 23, 3 1 -2
67.57, 1.386, 16, 2 2 -4